Computed powder X-ray diffraction pattern of Tl2CoCl5 for λ = 1.5418 Å (Cu Kα), from a cell relaxed with PBE.
Peak positions follow from Bragg's law for the DFT cell and can differ from measured ones.

```
data_Tl2CoCl5
_chemical_formula_sum 'Tl4 Co2 Cl10'
_symmetry_space_group_name_H-M 'I 4 m m'
_symmetry_Int_Tables_number 107
_symmetry_space_group_name_Hall 'I 4 -2'
_cell_length_a 7.1853
_cell_length_b 7.1853
_cell_length_c 9.1955
_cell_angle_alpha 90.00
_cell_angle_beta 90.00
_cell_angle_gamma 90.00
loop_
_atom_site_label
_atom_site_fract_x
_atom_site_fract_y
_atom_site_fract_z
Tl1 0.0000 0.5000 0.0000
Co1 0.0000 0.0000 0.2680
Cl1 0.0000 0.0000 0.5137
Cl2 0.2173 0.2173 0.2305
```

The 8 most intense peaks (15 to 90 degrees two-theta), in order of rising 2θ:
d (Å), I/Imax, index
5.081, 58, 1 1 0
3.593, 40, 2 0 0
3.409, 100, 1 1 2
2.831, 85, 2 0 2
2.540, 47, 2 2 0
2.037, 45, 3 1 2
1.705, 26, 2 2 4
1.517, 22, 4 2 2



Computed powder X-ray diffraction pattern of KH5O3 for λ = 1.5418 Å (Cu Kα), from a cell relaxed with PBE.
Peak positions follow from Bragg's law for the DFT cell and can differ from measured ones.

```
data_KH5O3
_chemical_formula_sum 'K8 H40 O24'
_symmetry_space_group_name_H-M 'C 1 2 1'
_symmetry_Int_Tables_number 5
_cell_length_a 10.2309
_cell_length_b 10.2664
_cell_length_c 8.5331
_cell_angle_alpha 90.00
_cell_angle_beta 126.57
_cell_angle_gamma 90.00
loop_
_symmetry_equiv_pos_as_xyz
'x,y,z'
'-x,y,-z'
'x+1/2,y+1/2,z'
'-x+1/2,y+1/2,-z'
loop_
_atom_site_label
_atom_site_fract_x
_atom_site_fract_y
_atom_site_fract_z
K1 0.1256 0.0000 0.2577
K2 0.1326 0.7503 0.7583
H1 0.0114 0.4587 0.5994
H2 0.0156 0.2778 0.9155
H3 0.0877 0.7070 0.0993
H4 0.0997 0.0281 0.5840
H5 0.1003 0.2797 0.7434
H6 0.1446 0.5289 0.2463
H7 0.1526 0.2963 0.4038
H8 0.1835 0.4484 0.9155
H9 0.2323 0.6990 0.4158
H10 0.2495 0.5454 0.0967
O1 0.0000 0.2213 0.0000
O2 0.0000 0.5211 0.5000
O3 0.0000 0.7692 0.0000
O4 0.0000 0.9718 0.5000
O5 0.0411 0.3466 0.7590
O6 0.2184 0.5960 0.2600
O7 0.2264 0.0124 0.9949
O8 0.2319 0.7638 0.5051
```

The 8 most intense peaks (15 to 90 degrees two-theta), in order of rising 2θ:
d (Å), I/Imax, index
3.156, 58, 3 1 -1
2.646, 59, 1 3 1
2.566, 38, 0 4 0
2.558, 38, 4 0 -2
2.494, 100, 2 2 1
2.486, 99, 2 2 -3
1.812, 32, 4 4 -2
1.466, 25, 6 2 -1



Computed powder X-ray diffraction pattern of BeRhF for λ = 1.5418 Å (Cu Kα), from a cell relaxed with PBE.
Peak positions follow from Bragg's law for the DFT cell and can differ from measured ones.

```
data_BeRhF
_chemical_formula_sum 'Be2 Rh2 F2'
_symmetry_space_group_name_H-M 'P 1 c 1'
_symmetry_Int_Tables_number 7
_cell_length_a 2.5909
_cell_length_b 7.6419
_cell_length_c 5.0572
_cell_angle_alpha 90.00
_cell_angle_beta 120.83
_cell_angle_gamma 90.00
loop_
_symmetry_equiv_pos_as_xyz
'x,y,z'
'x,-y,z+1/2'
loop_
_atom_site_label
_atom_site_fract_x
_atom_site_fract_y
_atom_site_fract_z
Be1 0.0000 0.2422 0.0000
Rh1 0.9549 0.0430 0.4517
F1 0.4840 0.3590 0.9836
```

The 8 most intense peaks (15 to 90 degrees two-theta), in order of rising 2θ:
d (Å), I/Imax, index
3.821, 61, 0 2 0
2.869, 49, 0 2 1
2.547, 26, 0 3 0
2.225, 37, 1 0 0
2.171, 33, 0 0 2
2.136, 100, 1 1 0
2.089, 30, 0 1 2
1.923, 44, 1 2 0



Computed powder X-ray diffraction pattern of Ac3IrI for λ = 1.5418 Å (Cu Kα), from a cell relaxed with PBE.
Peak positions follow from Bragg's law for the DFT cell and can differ from measured ones.

```
data_Ac3IrI
_chemical_formula_sum 'Ac6 Ir2 I2'
_symmetry_space_group_name_H-M 'P m m n'
_symmetry_Int_Tables_number 59
_cell_length_a 4.1916
_cell_length_b 10.2974
_cell_length_c 9.1557
_cell_angle_alpha 90.00
_cell_angle_beta 90.00
_cell_angle_gamma 90.00
loop_
_symmetry_equiv_pos_as_xyz
'x,y,z'
'-x,-y,-z'
'-x+1/2,-y+1/2,z'
'x+1/2,y+1/2,-z'
'x+1/2,-y,-z'
'-x+1/2,y,z'
'-x,y+1/2,-z'
'x,-y+1/2,z'
loop_
_atom_site_label
_atom_site_fract_x
_atom_site_fract_y
_atom_site_fract_z
Ac1 0.2500 0.0770 0.1579
Ac2 0.2500 0.2500 0.7664
Ir1 0.2500 0.7500 0.0120
I1 0.2500 0.7500 0.5641
```

The 8 most intense peaks (15 to 90 degrees two-theta), in order of rising 2θ:
d (Å), I/Imax, index
3.214, 57, 0 3 1
3.091, 39, 1 0 2
3.063, 72, 1 2 1
2.961, 100, 1 1 2
2.746, 40, 0 3 2
2.655, 38, 1 3 0
2.094, 45, 2 0 0
1.715, 38, 0 6 0



Computed powder X-ray diffraction pattern of Nd4ThN4 for λ = 1.5418 Å (Cu Kα), from a cell relaxed with PBE.
Peak positions follow from Bragg's law for the DFT cell and can differ from measured ones.

```
data_Nd4ThN4
_chemical_formula_sum 'Nd4 Th1 N4'
_symmetry_space_group_name_H-M 'P -1'
_symmetry_Int_Tables_number 2
_cell_length_a 5.1827
_cell_length_b 6.3379
_cell_length_c 6.3384
_cell_angle_alpha 80.44
_cell_angle_beta 65.97
_cell_angle_gamma 65.95
loop_
_symmetry_equiv_pos_as_xyz
'x,y,z'
'-x,-y,-z'
loop_
_atom_site_label
_atom_site_fract_x
_atom_site_fract_y
_atom_site_fract_z
Nd1 0.1066 0.2050 0.0810
Nd2 0.3117 0.5810 0.2949
Th1 0.5000 0.0000 0.5000
N1 0.2123 0.3790 0.6961
N2 0.4076 0.8039 0.8793
```

The 8 most intense peaks (15 to 90 degrees two-theta), in order of rising 2θ:
d (Å), I/Imax, index
2.990, 100, 1 2 0
2.590, 68, 2 1 1
1.832, 32, 2 0 3
1.830, 16, 2 3 2
1.562, 23, 3 3 1
1.561, 22, 3 2 3
1.188, 11, 3 4 -1
1.158, 13, 4 4 3



Computed powder X-ray diffraction pattern of Y2Al3Ir for λ = 1.5418 Å (Cu Kα), from a cell relaxed with PBE.
Peak positions follow from Bragg's law for the DFT cell and can differ from measured ones.

```
data_Y2Al3Ir
_chemical_formula_sum 'Y6 Al9 Ir3'
_symmetry_space_group_name_H-M 'R -3 m'
_symmetry_Int_Tables_number 166
_symmetry_space_group_name_Hall '-R 3 2"'
_cell_length_a 5.4904
_cell_length_b 5.4904
_cell_length_c 13.2377
_cell_angle_alpha 90.00
_cell_angle_beta 90.00
_cell_angle_gamma 120.00
loop_
_atom_site_label
_atom_site_fract_x
_atom_site_fract_y
_atom_site_fract_z
Y1 0.0000 0.0000 0.1265
Al1 0.0000 0.5000 0.0000
Ir1 0.0000 0.0000 0.5000
```

The 8 most intense peaks (15 to 90 degrees two-theta), in order of rising 2θ:
d (Å), I/Imax, index
4.413, 41, 0 0 3
3.862, 39, 0 1 2
2.745, 77, 1 1 0
2.331, 100, 1 1 3
2.313, 46, 0 1 5
2.237, 26, 2 0 2
1.492, 25, 3 0 3
1.487, 23, 1 2 5



Computed powder X-ray diffraction pattern of Nb6ZnRh for λ = 1.5418 Å (Cu Kα), from a cell relaxed with PBE.
Peak positions follow from Bragg's law for the DFT cell and can differ from measured ones.

```
data_Nb6ZnRh
_chemical_formula_sum 'Nb12 Zn2 Rh2'
_symmetry_space_group_name_H-M 'I 4/m m m'
_symmetry_Int_Tables_number 139
_symmetry_space_group_name_Hall '-I 4 2'
_cell_length_a 4.7220
_cell_length_b 4.7220
_cell_length_c 12.4720
_cell_angle_alpha 90.00
_cell_angle_beta 90.00
_cell_angle_gamma 90.00
loop_
_atom_site_label
_atom_site_fract_x
_atom_site_fract_y
_atom_site_fract_z
Nb1 0.0000 0.0000 0.2462
Nb2 0.0000 0.5000 0.1252
Zn1 0.0000 0.0000 0.0000
Rh1 0.0000 0.0000 0.5000
```

The 8 most intense peaks (15 to 90 degrees two-theta), in order of rising 2θ:
d (Å), I/Imax, index
2.361, 56, 2 0 0
2.279, 100, 1 1 4
1.669, 19, 2 2 0
1.559, 7, 0 0 8
1.347, 36, 3 1 4
1.301, 16, 2 0 8
1.180, 6, 4 0 0
1.139, 10, 2 2 8



Computed powder X-ray diffraction pattern of Sr2AcAu6 for λ = 1.5418 Å (Cu Kα), from a cell relaxed with PBE.
Peak positions follow from Bragg's law for the DFT cell and can differ from measured ones.

```
data_Sr2AcAu6
_chemical_formula_sum 'Sr2 Ac1 Au6'
_symmetry_space_group_name_H-M 'P 6/m m m'
_symmetry_Int_Tables_number 191
_symmetry_space_group_name_Hall '-P 6 2'
_cell_length_a 8.3763
_cell_length_b 8.3763
_cell_length_c 3.8945
_cell_angle_alpha 90.00
_cell_angle_beta 90.00
_cell_angle_gamma 120.00
loop_
_atom_site_label
_atom_site_fract_x
_atom_site_fract_y
_atom_site_fract_z
Sr1 0.3333 0.6667 0.0000
Ac1 0.0000 0.0000 0.0000
Au1 0.0000 0.3334 0.5000
```

The 8 most intense peaks (15 to 90 degrees two-theta), in order of rising 2θ:
d (Å), I/Imax, index
3.894, 23, 0 0 1
2.852, 100, 1 1 1
2.418, 82, 3 0 0
2.054, 26, 3 0 1
1.844, 29, 2 2 1
1.517, 39, 3 0 2
1.466, 27, 4 1 1
1.135, 16, 3 3 2



Computed powder X-ray diffraction pattern of Mg3As3Rh2 for λ = 1.5418 Å (Cu Kα), from a cell relaxed with PBE.
Peak positions follow from Bragg's law for the DFT cell and can differ from measured ones.

```
data_Mg3As3Rh2
_chemical_formula_sum 'Mg12 As12 Rh8'
_symmetry_space_group_name_H-M 'P n m a'
_symmetry_Int_Tables_number 62
_cell_length_a 6.8883
_cell_length_b 15.8273
_cell_length_c 5.3152
_cell_angle_alpha 90.00
_cell_angle_beta 90.00
_cell_angle_gamma 90.00
loop_
_symmetry_equiv_pos_as_xyz
'x,y,z'
'-x,-y,-z'
'-x+1/2,-y,z+1/2'
'x+1/2,y,-z+1/2'
'x+1/2,-y+1/2,-z+1/2'
'-x+1/2,y+1/2,z+1/2'
'-x,y+1/2,-z'
'x,-y+1/2,z'
loop_
_atom_site_label
_atom_site_fract_x
_atom_site_fract_y
_atom_site_fract_z
Mg1 0.0140 0.1175 0.0946
Mg2 0.1767 0.2500 0.6472
As1 0.1715 0.7500 0.6522
As2 0.1839 0.0271 0.6378
Rh1 0.1088 0.6197 0.4120
```

The 8 most intense peaks (15 to 90 degrees two-theta), in order of rising 2θ:
d (Å), I/Imax, index
4.208, 88, 1 0 1
4.067, 48, 1 1 1
3.744, 64, 0 3 1
3.365, 47, 2 1 0
2.598, 49, 2 4 0
2.333, 100, 2 4 1
2.244, 50, 1 3 2
2.101, 94, 1 4 2



Computed powder X-ray diffraction pattern of Pr12Ho5Pu for λ = 1.5418 Å (Cu Kα), from a cell relaxed with PBE.
Peak positions follow from Bragg's law for the DFT cell and can differ from measured ones.

```
data_Pr12Ho5Pu
_chemical_formula_sum 'Pr24 Ho10 Pu2'
_symmetry_space_group_name_H-M 'C 1 2/m 1'
_symmetry_Int_Tables_number 12
_cell_length_a 11.3173
_cell_length_b 18.1355
_cell_length_c 6.0179
_cell_angle_alpha 90.00
_cell_angle_beta 90.02
_cell_angle_gamma 90.00
loop_
_symmetry_equiv_pos_as_xyz
'x,y,z'
'-x,-y,-z'
'-x,y,-z'
'x,-y,z'
'x+1/2,y+1/2,z'
'-x+1/2,-y+1/2,-z'
'-x+1/2,y+1/2,-z'
'x+1/2,-y+1/2,z'
loop_
_atom_site_label
_atom_site_fract_x
_atom_site_fract_y
_atom_site_fract_z
Pr1 0.1564 0.0000 0.4988
Pr2 0.1589 0.1656 0.0004
Pr3 0.1606 0.3332 0.4996
Pr4 0.1622 0.5000 0.0010
Ho1 0.0000 0.1677 0.5000
Ho2 0.0000 0.3339 0.0000
Ho3 0.0000 0.5000 0.5000
Pu1 0.0000 0.0000 0.0000
```

The 8 most intense peaks (15 to 90 degrees two-theta), in order of rising 2θ:
d (Å), I/Imax, index
3.023, 30, 0 6 0
3.009, 30, 0 0 2
2.826, 100, 3 3 1
2.132, 23, 0 6 2
1.705, 23, 3 9 1
1.700, 22, 3 3 3
1.599, 18, 6 6 0
1.330, 10, 3 9 3



Computed powder X-ray diffraction pattern of CaPrMgBi for λ = 1.5418 Å (Cu Kα), from a cell relaxed with PBE.
Peak positions follow from Bragg's law for the DFT cell and can differ from measured ones.

```
data_CaPrMgBi
_chemical_formula_sum 'Ca4 Pr4 Mg4 Bi4'
_symmetry_space_group_name_H-M 'F -4 3 m'
_symmetry_Int_Tables_number 216
_symmetry_space_group_name_Hall 'F -4 2 3'
_cell_length_a 7.8871
_cell_length_b 7.8871
_cell_length_c 7.8871
_cell_angle_alpha 90.00
_cell_angle_beta 90.00
_cell_angle_gamma 90.00
loop_
_atom_site_label
_atom_site_fract_x
_atom_site_fract_y
_atom_site_fract_z
Ca1 0.0000 0.0000 0.0000
Pr1 0.0000 0.0000 0.5000
Mg1 0.2500 0.2500 0.2500
Bi1 0.2500 0.2500 0.7500
```

The 8 most intense peaks (15 to 90 degrees two-theta), in order of rising 2θ:
d (Å), I/Imax, index
4.554, 54, 1 1 1
2.789, 100, 2 2 0
2.378, 32, 3 1 1
1.972, 18, 4 0 0
1.809, 14, 3 3 1
1.610, 39, 4 2 2
1.394, 12, 4 4 0
1.247, 17, 6 2 0



Computed powder X-ray diffraction pattern of DySnBr5 for λ = 1.5418 Å (Cu Kα), from a cell relaxed with PBE.
Peak positions follow from Bragg's law for the DFT cell and can differ from measured ones.

```
data_DySnBr5
_chemical_formula_sum 'Dy2 Sn2 Br10'
_symmetry_space_group_name_H-M 'P 1 21/m 1'
_symmetry_Int_Tables_number 11
_cell_length_a 8.4583
_cell_length_b 4.2670
_cell_length_c 13.9429
_cell_angle_alpha 90.00
_cell_angle_beta 94.33
_cell_angle_gamma 90.00
loop_
_symmetry_equiv_pos_as_xyz
'x,y,z'
'-x,-y,-z'
'-x,y+1/2,-z'
'x,-y+1/2,z'
loop_
_atom_site_label
_atom_site_fract_x
_atom_site_fract_y
_atom_site_fract_z
Dy1 0.0889 0.2500 0.1464
Sn1 0.4049 0.7500 0.3642
Br1 0.1038 0.2500 0.7977
Br2 0.1457 0.2500 0.3587
Br3 0.1755 0.7500 0.0141
Br4 0.3542 0.7500 0.5680
Br5 0.4159 0.2500 0.1792
```

The 8 most intense peaks (15 to 90 degrees two-theta), in order of rising 2θ:
d (Å), I/Imax, index
3.293, 63, 1 1 2
3.002, 100, 2 1 0
2.992, 62, 1 1 -3
2.810, 38, 2 1 -2
2.699, 35, 1 0 -5
2.336, 45, 2 1 -4
2.212, 58, 2 1 4
2.133, 50, 0 2 0



Computed powder X-ray diffraction pattern of Tl2GeBr5 for λ = 1.5418 Å (Cu Kα), from a cell relaxed with PBE.
Peak positions follow from Bragg's law for the DFT cell and can differ from measured ones.

```
data_Tl2GeBr5
_chemical_formula_sum 'Tl4 Ge2 Br10'
_symmetry_space_group_name_H-M 'I 4 m m'
_symmetry_Int_Tables_number 107
_symmetry_space_group_name_Hall 'I 4 -2'
_cell_length_a 7.7036
_cell_length_b 7.7036
_cell_length_c 10.4870
_cell_angle_alpha 90.00
_cell_angle_beta 90.00
_cell_angle_gamma 90.00
loop_
_atom_site_label
_atom_site_fract_x
_atom_site_fract_y
_atom_site_fract_z
Tl1 0.0000 0.5000 0.0000
Ge1 0.0000 0.0000 0.2810
Br1 0.0000 0.0000 0.0503
Br2 0.2394 0.2394 0.3190
```

The 8 most intense peaks (15 to 90 degrees two-theta), in order of rising 2θ:
d (Å), I/Imax, index
5.447, 24, 1 1 0
3.778, 60, 1 1 2
3.104, 100, 2 0 2
2.724, 62, 2 2 0
2.209, 29, 3 1 2
2.167, 27, 2 0 4
1.926, 22, 4 0 0
1.637, 29, 4 2 2